Starting from a structure optimized by DFT (PBE), the X-ray powder pattern of Ti2NbNi9 was calculated for Cu Kα, 1.54184 Å.
Neutral-atom scattering factors, no anomalous dispersion.

Top 6 peaks for 5° ≤ 2θ ≤ 70°, by angle:
| 2θ/deg | intensity |
| --- | --- |
| 20.03 | 3.5 |
| 40.71 | 5.8 |
| 42.16 | 52.2 |
| 42.91 | 39.0 |
| 46.28 | 100.0 |
| 52.59 | 26.3 |

Structural model:
abc: 5.1183 5.1183 25.2932
angles: 90.00 90.00 120.00
Space group P-6m2 (No. 187)
Asymmetric unit:
1 Ti 0.0000 0.0000 0.0838 x2
2 Ti 0.0000 0.0000 0.2494 x2
3 Ti 0.0000 0.0000 0.4164 x2
4 Ti 0.3333 0.6667 0.1664 x2
5 Nb 0.3333 0.6667 0.5000 x1
6 Nb 0.6667 0.3333 0.0000 x1
7 Nb 0.6667 0.3333 0.3318 x2
8 Ni 0.9996 0.4998 0.4166 x6
9 Ni 0.0015 0.5007 0.0841 x6
10 Ni 0.0019 0.5009 0.2492 x6
11 Ni 0.1711 0.3421 0.0000 x3
12 Ni 0.1708 0.3417 0.3333 x6
13 Ni 0.3413 0.1706 0.5000 x3
14 Ni 0.3422 0.1711 0.1666 x6


Starting from a structure optimized by DFT (PBE), the X-ray powder pattern of ZrSn was calculated for Cu Kα, 1.54184 Å.
Neutral-atom scattering factors, no anomalous dispersion.

Top 6 peaks for 5° ≤ 2θ ≤ 70°, by angle:
| 2θ/deg | intensity |
| --- | --- |
| 32.73 | 39.7 |
| 33.81 | 20.0 |
| 36.92 | 100.0 |
| 37.70 | 24.5 |
| 47.77 | 15.6 |
| 61.19 | 23.0 |

Structural model:
abc: 5.4722 3.1664 5.3028
angles: 90.00 90.00 90.00
Space group Pmma (No. 51)
Asymmetric unit:
1 Zr 0.2500 0.0000 0.1898 x2
2 Sn 0.2500 0.5000 0.6925 x2


Starting from a structure optimized by DFT (PBE), the X-ray powder pattern of Sr2GdCu2IrO8 was calculated for Cu Kα, 1.54184 Å.
Neutral-atom scattering factors, no anomalous dispersion.

Top 6 peaks for 5° ≤ 2θ ≤ 70°, by angle:
| 2θ/deg | intensity |
| --- | --- |
| 24.15 | 27.3 |
| 32.34 | 100.0 |
| 32.67 | 50.0 |
| 46.87 | 31.0 |
| 58.04 | 19.1 |
| 58.15 | 18.7 |

Structural model:
abc: 11.8650 5.4890 5.4756
angles: 90.00 90.00 90.00
Space group Amm2 (No. 38)
Asymmetric unit:
1 Sr 0.1947 0.0000 0.0000 x4
2 Gd 0.5000 0.0000 0.9940 x2
3 Cu 0.3590 0.0000 0.4945 x4
4 Ir 0.0000 0.0000 0.4828 x2
5 O 0.0000 0.2341 0.2127 x4
6 O 0.1711 0.0000 0.4893 x4
7 O 0.3743 0.2503 0.2446 x8


Starting from a structure optimized by DFT (PBE), the X-ray powder pattern of SrGd2Al2O7 was calculated for Cu Kα, 1.54184 Å.
Neutral-atom scattering factors, no anomalous dispersion.

Top 6 peaks for 5° ≤ 2θ ≤ 70°, by angle:
| 2θ/deg | intensity |
| --- | --- |
| 27.37 | 45.4 |
| 32.88 | 100.0 |
| 33.86 | 71.0 |
| 43.79 | 48.8 |
| 48.64 | 41.5 |
| 59.95 | 37.6 |

Structural model:
abc: 3.7442 3.7442 19.8580
angles: 90.00 90.00 90.00
Space group I4/mmm (No. 139)
Asymmetric unit:
1 Sr 0.0000 0.0000 0.0000 x2
2 Gd 0.0000 0.0000 0.1817 x4
3 Al 0.0000 0.0000 0.4049 x4
4 O 0.0000 0.0000 0.2962 x4
5 O 0.0000 0.0000 0.5000 x2
6 O 0.0000 0.5000 0.1045 x8


Starting from a structure optimized by DFT (PBE), the X-ray powder pattern of PaInO4 was calculated for Cu Kα, 1.54184 Å.
Neutral-atom scattering factors, no anomalous dispersion.

Top 6 peaks for 5° ≤ 2θ ≤ 70°, by angle:
| 2θ/deg | intensity |
| --- | --- |
| 28.92 | 100.0 |
| 33.35 | 22.2 |
| 47.88 | 17.4 |
| 48.26 | 34.0 |
| 56.91 | 30.4 |
| 57.59 | 14.6 |

Structural model:
abc: 3.7998 3.7998 5.2938
angles: 90.00 90.00 90.00
Space group P4/mmm (No. 123)
Asymmetric unit:
1 Pa 0.0000 0.0000 0.0000 x1
2 In 0.5000 0.5000 0.5000 x1
3 O 0.0000 0.5000 0.2452 x4


Starting from a structure optimized by DFT (PBE), the X-ray powder pattern of NbSeBr3 was calculated for Cu Kα, 1.54184 Å.
Neutral-atom scattering factors, no anomalous dispersion.

Top 6 peaks for 5° ≤ 2θ ≤ 70°, by angle:
| 2θ/deg | intensity |
| --- | --- |
| 11.80 | 67.7 |
| 12.51 | 100.0 |
| 13.71 | 74.5 |
| 27.86 | 37.4 |
| 29.60 | 41.0 |
| 33.22 | 44.0 |

Structural model:
abc: 7.1484 7.5029 12.8109
angles: 90.00 98.17 90.00
Space group P2/c (No. 13)
Asymmetric unit:
1 Nb 0.0686 0.1278 0.1500 x4
2 Se 0.1510 0.3803 0.2979 x4
3 Br 0.1437 0.1752 0.5384 x4
4 Br 0.2352 0.0660 0.8037 x4
5 Br 0.3477 0.2676 0.0784 x4